1.
Structure and theoretical powder X-ray diffraction pattern of YSi2Au2 (a crystal structure in the Materials Project, relaxed with PBE; Cu Kα X-rays).

Principal peaks in the range 2θ = 10–90°, in order of rising 2θ:
| (hkl) | 2θ (°) | intensity |
| --- | --- | --- |
| 0 0 2 | 17.2 | 45 |
| 1 1 0 | 29.6 | 18 |
| 1 1 2 | 34.4 | 100 |
| 0 0 4 | 34.8 | 18 |
| 2 0 0 | 42.4 | 34 |
| 1 1 4 | 46.4 | 23 |
| 2 0 4 | 56.0 | 19 |
| 3 1 2 | 72.4 | 24 |

a = 4.268 Å, b = 4.268 Å, c = 10.298 Å
α = 90.00°, β = 90.00°, γ = 90.00°
Fractional coordinates of all 10 atoms:
Y: 0.000 0.000 0.000
Y: 0.500 0.500 0.500
Si: 0.000 0.000 0.388
Si: 0.000 0.000 0.612
Si: 0.500 0.500 0.112
Si: 0.500 0.500 0.888
Au: 0.000 0.500 0.250
Au: 0.000 0.500 0.750
Au: 0.500 0.000 0.250
Au: 0.500 0.000 0.750

---

2.
Structure and theoretical powder X-ray diffraction pattern of Sm2Au (a crystal structure in the Materials Project, relaxed with PBE; Cu Kα X-rays).

Principal peaks in the range 2θ = 10–90°, in order of rising 2θ:
| (hkl) | 2θ (°) | intensity |
| --- | --- | --- |
| 1 1 2 | 29.0 | 62 |
| 2 1 0 | 30.3 | 24 |
| 2 0 2 | 31.3 | 23 |
| 2 1 1 | 31.9 | 100 |
| 0 1 3 | 34.2 | 77 |
| 0 2 0 | 35.7 | 63 |
| 3 0 1 | 38.4 | 23 |
| 2 1 3 | 42.5 | 50 |

a = 7.270 Å, b = 5.026 Å, c = 9.222 Å
α = 90.00°, β = 90.00°, γ = 90.00°
Fractional coordinates of all 12 atoms:
Sm: 0.010 0.250 0.176
Sm: 0.152 0.250 0.585
Sm: 0.348 0.750 0.085
Sm: 0.490 0.750 0.676
Sm: 0.510 0.250 0.324
Sm: 0.652 0.250 0.915
Sm: 0.848 0.750 0.415
Sm: 0.990 0.750 0.824
Au: 0.243 0.250 0.903
Au: 0.257 0.750 0.403
Au: 0.743 0.250 0.597
Au: 0.757 0.750 0.097

---

3.
Structure and theoretical powder X-ray diffraction pattern of SmAu6 (a crystal structure in the Materials Project, relaxed with PBE; Cu Kα X-rays).

Principal peaks in the range 2θ = 10–90°, in order of rising 2θ:
| (hkl) | 2θ (°) | intensity |
| --- | --- | --- |
| 3 3 0 | 36.0 | 18 |
| 4 1 1 | 36.1 | 60 |
| 3 3 1 | 37.1 | 100 |
| 3 1 3 | 38.2 | 50 |
| 4 0 2 | 38.5 | 27 |
| 4 1 2 | 39.5 | 80 |
| 3 2 3 | 41.0 | 21 |
| 7 2 1 | 64.8 | 19 |

a = 10.590 Å, b = 10.590 Å, c = 9.951 Å
α = 90.00°, β = 90.00°, γ = 90.00°
Fractional coordinates of all 56 atoms:
Sm: 0.075 0.075 0.210
Sm: 0.075 0.425 0.710
Sm: 0.425 0.075 0.710
Sm: 0.425 0.425 0.210
Sm: 0.575 0.575 0.790
Sm: 0.575 0.925 0.290
Sm: 0.925 0.575 0.290
Sm: 0.925 0.925 0.790
Au: 0.000 0.000 0.500
Au: 0.000 0.500 0.000
Au: 0.014 0.681 0.579
Au: 0.014 0.819 0.079
Au: 0.124 0.699 0.855
Au: 0.124 0.801 0.355
Au: 0.146 0.146 0.681
Au: 0.146 0.354 0.181
Au: 0.181 0.514 0.421
Au: 0.181 0.986 0.921
Au: 0.199 0.624 0.145
Au: 0.199 0.876 0.645
Au: 0.250 0.250 0.437
Au: 0.250 0.250 0.937
Au: 0.301 0.624 0.645
Au: 0.301 0.876 0.145
Au: 0.319 0.514 0.921
Au: 0.319 0.986 0.421
Au: 0.354 0.146 0.181
Au: 0.354 0.354 0.681
Au: 0.376 0.699 0.355
Au: 0.376 0.801 0.855
Au: 0.486 0.681 0.079
Au: 0.486 0.819 0.579
Au: 0.500 0.000 0.000
Au: 0.500 0.500 0.500
Au: 0.514 0.181 0.421
Au: 0.514 0.319 0.921
Au: 0.624 0.199 0.145
Au: 0.624 0.301 0.645
Au: 0.646 0.646 0.319
Au: 0.646 0.854 0.819
Au: 0.681 0.014 0.579
Au: 0.681 0.486 0.079
Au: 0.699 0.124 0.855
Au: 0.699 0.376 0.355
Au: 0.750 0.750 0.063
Au: 0.750 0.750 0.563
Au: 0.801 0.124 0.355
Au: 0.801 0.376 0.855
Au: 0.819 0.014 0.079
Au: 0.819 0.486 0.579
Au: 0.854 0.646 0.819
Au: 0.854 0.854 0.319
Au: 0.876 0.199 0.645
Au: 0.876 0.301 0.145
Au: 0.986 0.181 0.921
Au: 0.986 0.319 0.421

---

4.
Structure and theoretical powder X-ray diffraction pattern of SmSnAu (a crystal structure in the Materials Project, relaxed with PBE; Cu Kα X-rays).

Principal peaks in the range 2θ = 10–90°, in order of rising 2θ:
| (hkl) | 2θ (°) | intensity |
| --- | --- | --- |
| 1 0 1 | 24.6 | 27 |
| 1 0 2 | 32.1 | 100 |
| 1 1 0 | 37.8 | 94 |
| 1 0 3 | 41.9 | 32 |
| 2 0 2 | 50.4 | 29 |
| 2 1 2 | 64.6 | 27 |
| 3 0 0 | 68.2 | 17 |
| 2 1 3 | 71.0 | 14 |

a = 4.762 Å, b = 4.762 Å, c = 7.589 Å
α = 90.00°, β = 90.00°, γ = 120.00°
Fractional coordinates of all 6 atoms:
Sm: 0.000 0.000 0.000
Sm: 0.000 0.000 0.500
Sn: 0.333 0.667 0.275
Sn: 0.667 0.333 0.775
Au: 0.333 0.667 0.678
Au: 0.667 0.333 0.178

---

5.
Structure and theoretical powder X-ray diffraction pattern of SmSnAu2 (a crystal structure in the Materials Project, relaxed with PBE; Cu Kα X-rays).

Principal peaks in the range 2θ = 10–90°, in order of rising 2θ:
| (hkl) | 2θ (°) | intensity |
| --- | --- | --- |
| 2 0 0 | 25.0 | 4 |
| 2 2 0 | 35.6 | 100 |
| 2 2 2 | 44.0 | 1 |
| 4 0 0 | 51.2 | 18 |
| 4 2 0 | 57.8 | 2 |
| 4 2 2 | 63.9 | 37 |
| 4 4 0 | 75.4 | 12 |
| 6 2 0 | 86.2 | 17 |

a = 7.135 Å, b = 7.135 Å, c = 7.135 Å
α = 90.00°, β = 90.00°, γ = 90.00°
Fractional coordinates of all 16 atoms:
Sm: 0.000 0.000 0.000
Sm: 0.000 0.500 0.500
Sm: 0.500 0.000 0.500
Sm: 0.500 0.500 0.000
Sn: 0.000 0.000 0.500
Sn: 0.000 0.500 0.000
Sn: 0.500 0.000 0.000
Sn: 0.500 0.500 0.500
Au: 0.250 0.250 0.250
Au: 0.250 0.250 0.750
Au: 0.250 0.750 0.250
Au: 0.250 0.750 0.750
Au: 0.750 0.250 0.250
Au: 0.750 0.250 0.750
Au: 0.750 0.750 0.250
Au: 0.750 0.750 0.750

---

6.
Structure and theoretical powder X-ray diffraction pattern of SmSnAu (a crystal structure in the Materials Project, relaxed with PBE; Cu Kα X-rays).

Principal peaks in the range 2θ = 10–90°, in order of rising 2θ:
| (hkl) | 2θ (°) | intensity |
| --- | --- | --- |
| 1 1 1 | 22.5 | 43 |
| 2 2 0 | 37.2 | 100 |
| 3 1 1 | 43.9 | 23 |
| 4 0 0 | 53.6 | 18 |
| 3 3 1 | 58.9 | 10 |
| 4 2 2 | 67.1 | 37 |
| 4 4 0 | 79.3 | 12 |
| 5 3 1 | 83.7 | 7 |

a = 6.837 Å, b = 6.837 Å, c = 6.837 Å
α = 90.00°, β = 90.00°, γ = 90.00°
Fractional coordinates of all 12 atoms:
Sm: 0.000 0.000 0.000
Sm: 0.000 0.500 0.500
Sm: 0.500 0.000 0.500
Sm: 0.500 0.500 0.000
Sn: 0.000 0.000 0.500
Sn: 0.000 0.500 0.000
Sn: 0.500 0.000 0.000
Sn: 0.500 0.500 0.500
Au: 0.250 0.250 0.250
Au: 0.250 0.750 0.750
Au: 0.750 0.250 0.750
Au: 0.750 0.750 0.250

---

7.
Structure and theoretical powder X-ray diffraction pattern of SmSnAu (a crystal structure in the Materials Project, relaxed with PBE; Cu Kα X-rays).

Principal peaks in the range 2θ = 10–90°, in order of rising 2θ:
| (hkl) | 2θ (°) | intensity |
| --- | --- | --- |
| 1 0 2 | 31.8 | 100 |
| 1 1 0 | 38.0 | 72 |
| 0 0 4 | 47.0 | 13 |
| 2 0 2 | 50.4 | 28 |
| 1 1 4 | 61.9 | 35 |
| 2 1 2 | 64.8 | 26 |
| 3 0 4 | 87.3 | 14 |
| 3 1 2 | 89.9 | 18 |

a = 4.736 Å, b = 4.736 Å, c = 7.738 Å
α = 90.00°, β = 90.00°, γ = 120.00°
Fractional coordinates of all 6 atoms:
Sm: 0.000 0.000 0.000
Sm: 0.000 0.000 0.500
Sn: 0.333 0.667 0.250
Sn: 0.667 0.333 0.750
Au: 0.333 0.667 0.750
Au: 0.667 0.333 0.250

---

8.
Structure and theoretical powder X-ray diffraction pattern of SmTlAu2 (a crystal structure in the Materials Project, relaxed with PBE; Cu Kα X-rays).

Principal peaks in the range 2θ = 10–90°, in order of rising 2θ:
| (hkl) | 2θ (°) | intensity |
| --- | --- | --- |
| 1 1 1 | 21.4 | 1 |
| 2 2 0 | 35.2 | 100 |
| 3 1 1 | 41.6 | 1 |
| 4 0 0 | 50.7 | 18 |
| 4 2 2 | 63.2 | 37 |
| 4 4 0 | 74.5 | 12 |
| 6 2 0 | 85.2 | 17 |

a = 7.203 Å, b = 7.203 Å, c = 7.203 Å
α = 90.00°, β = 90.00°, γ = 90.00°
Fractional coordinates of all 16 atoms:
Sm: 0.000 0.000 0.000
Sm: 0.000 0.500 0.500
Sm: 0.500 0.000 0.500
Sm: 0.500 0.500 0.000
Tl: 0.000 0.000 0.500
Tl: 0.000 0.500 0.000
Tl: 0.500 0.000 0.000
Tl: 0.500 0.500 0.500
Au: 0.250 0.250 0.250
Au: 0.250 0.250 0.750
Au: 0.250 0.750 0.250
Au: 0.250 0.750 0.750
Au: 0.750 0.250 0.250
Au: 0.750 0.250 0.750
Au: 0.750 0.750 0.250
Au: 0.750 0.750 0.750

---

9.
Structure and theoretical powder X-ray diffraction pattern of SnAu (a crystal structure in the Materials Project, relaxed with PBE; Cu Kα X-rays).

Principal peaks in the range 2θ = 10–90°, in order of rising 2θ:
| (hkl) | 2θ (°) | intensity |
| --- | --- | --- |
| 1 1 1 | 27.2 | 12 |
| 2 0 0 | 31.5 | 23 |
| 2 1 0 | 35.3 | 100 |
| 2 1 1 | 38.8 | 44 |
| 2 2 1 | 48.0 | 17 |
| 3 1 2 | 61.0 | 43 |
| 4 1 0 | 68.0 | 13 |
| 4 3 1 | 87.5 | 14 |

a = 5.686 Å, b = 5.686 Å, c = 5.686 Å
α = 90.00°, β = 90.00°, γ = 90.00°
Fractional coordinates of all 8 atoms:
Sn: 0.155 0.345 0.655
Sn: 0.345 0.655 0.155
Sn: 0.655 0.155 0.345
Sn: 0.845 0.845 0.845
Au: 0.166 0.166 0.166
Au: 0.334 0.834 0.666
Au: 0.666 0.334 0.834
Au: 0.834 0.666 0.334

---

10.
Structure and theoretical powder X-ray diffraction pattern of Sn2Au (a crystal structure in the Materials Project, relaxed with PBE; Cu Kα X-rays).

Principal peaks in the range 2θ = 10–90°, in order of rising 2θ:
| (hkl) | 2θ (°) | intensity |
| --- | --- | --- |
| 1 1 1 | 19.1 | 56 |
| 2 1 0 | 28.3 | 50 |
| 0 0 4 | 29.4 | 85 |
| 1 2 2 | 31.6 | 74 |
| 1 1 5 | 41.3 | 100 |
| 1 3 2 | 42.6 | 98 |
| 3 1 2 | 43.3 | 59 |
| 3 1 3 | 46.5 | 44 |

a = 7.028 Å, b = 7.185 Å, c = 12.144 Å
α = 90.00°, β = 90.00°, γ = 90.00°
Fractional coordinates of all 24 atoms:
Sn: 0.128 0.026 0.175
Sn: 0.128 0.474 0.675
Sn: 0.145 0.248 0.412
Sn: 0.145 0.252 0.912
Sn: 0.355 0.748 0.412
Sn: 0.355 0.752 0.912
Sn: 0.372 0.526 0.175
Sn: 0.372 0.974 0.675
Sn: 0.628 0.026 0.325
Sn: 0.628 0.474 0.825
Sn: 0.645 0.248 0.088
Sn: 0.645 0.252 0.588
Sn: 0.855 0.748 0.088
Sn: 0.855 0.752 0.588
Sn: 0.872 0.526 0.325
Sn: 0.872 0.974 0.825
Au: 0.012 0.112 0.617
Au: 0.012 0.388 0.117
Au: 0.488 0.612 0.617
Au: 0.488 0.888 0.117
Au: 0.512 0.112 0.883
Au: 0.512 0.388 0.383
Au: 0.988 0.612 0.883
Au: 0.988 0.888 0.383